Simulated powder XRD pattern
Compound: Ba2AgWO6
Radiation: Cu Kα, 1.54184 Å
Structure: a DFT-relaxed cell (GGA+U, Alexandria)
Kinematic intensities with the Lorentz-polarization factor, no thermal factor.

Largest 8 diffraction maxima, in order of rising 2θ, 10° ≤ 2θ ≤ 90°:
(hkl)  Position (°2θ)  I/Imax
1 1 1  29.07  100
3 1 -1  29.37  100
2 0 -2  30.48  42
0 2 0  30.83  43
4 0 0  39.61  30
2 2 -2  43.90  48
4 2 0  51.02  21
5 1 -3  53.70  37

Structural model:
Unit cell a=10.7590 b=5.8003 c=5.8669 alpha=90.00 beta=122.23 gamma=90.00
Space group C2/m (No. 12)
One atom of each set of equivalent atoms:
Ba: 0.2489 0.0000 0.2401
Ag: 0.0000 0.0000 0.5000
W: 0.0000 0.5000 0.0000
O: 0.0335 0.2619 0.8003
O: 0.2096 0.5000 0.2666